Entry 1:
Theoretical powder diffraction line list of UMnC2 for Cu Ka, from a DFT-relaxed cell (PBE, the Materials Project).

Structural model:
Cell: 5.2232 2.7739 12.2549 Å, 90.00 90.00 90.00°
Atoms (fractional coordinates):
U 0.1211 0.2500 0.0885
U 0.3789 0.7500 0.5885
U 0.6211 0.2500 0.4115
U 0.8789 0.7500 0.9115
Mn 0.1033 0.7500 0.3038
Mn 0.3967 0.2500 0.8038
Mn 0.6033 0.7500 0.1962
Mn 0.8967 0.2500 0.6962
C 0.0036 0.2500 0.5313
C 0.1481 0.7500 0.7535
C 0.3519 0.2500 0.2535
C 0.4964 0.7500 0.0313
C 0.5036 0.2500 0.9687
C 0.6481 0.7500 0.7465
C 0.8519 0.2500 0.2465
C 0.9964 0.7500 0.4687

The 10 most intense peaks (10 to 90 degrees two-theta), in order of rising 2θ:
two_theta	I (rel.)
18.47	1000
22.37	724
33.92	469
35.13	438
37.44	594
39.26	726
39.62	791
40.66	469
41.02	479
67.27	307



Entry 2:
Theoretical powder diffraction line list of UMnC2 for Cu Ka, from a DFT-relaxed cell (PBE, the Materials Project).

Structural model:
Cell: 5.4158 3.1871 10.5916 Å, 90.00 90.00 90.00°
Atoms (fractional coordinates):
U 0.0827 0.2500 0.1414
U 0.4173 0.7500 0.6414
U 0.5827 0.2500 0.3586
U 0.9173 0.7500 0.8586
Mn 0.0816 0.7500 0.4026
Mn 0.4184 0.2500 0.9026
Mn 0.5816 0.7500 0.0974
Mn 0.9184 0.2500 0.5974
C 0.1609 0.2500 0.7533
C 0.2214 0.2500 0.4883
C 0.2786 0.7500 0.9883
C 0.3391 0.7500 0.2533
C 0.6609 0.2500 0.7467
C 0.7214 0.2500 0.0117
C 0.7786 0.7500 0.5117
C 0.8391 0.7500 0.2467

The 10 most intense peaks (10 to 90 degrees two-theta), in order of rising 2θ:
two_theta	I (rel.)
18.40	305
23.50	180
29.26	281
30.22	400
33.85	292
34.18	312
36.86	1000
41.66	173
51.82	190
59.49	168



Entry 3:
Theoretical powder diffraction line list of Mn20W3C6 for Cu Ka, from a DFT-relaxed cell (PBE, the Materials Project).

Structural model:
Cell: 7.4463 7.4463 7.4463 Å, 60.00 60.00 60.00°
Atoms (fractional coordinates):
Mn 0.0000 0.0000 0.3412
Mn 0.0000 0.0000 0.6588
Mn 0.0000 0.3412 0.0000
Mn 0.0000 0.3412 0.6588
Mn 0.0000 0.6588 0.0000
Mn 0.0000 0.6588 0.3412
Mn 0.1531 0.6156 0.6156
Mn 0.3412 0.0000 0.0000
Mn 0.3412 0.0000 0.6588
Mn 0.3412 0.6588 0.0000
Mn 0.3844 0.3844 0.3844
Mn 0.3844 0.3844 0.8469
Mn 0.3844 0.8469 0.3844
Mn 0.6156 0.1531 0.6156
Mn 0.6156 0.6156 0.1531
Mn 0.6156 0.6156 0.6156
Mn 0.6588 0.0000 0.0000
Mn 0.6588 0.0000 0.3412
Mn 0.6588 0.3412 0.0000
Mn 0.8469 0.3844 0.3844
W 0.0000 0.0000 0.0000
W 0.2500 0.2500 0.2500
W 0.7500 0.7500 0.7500
C 0.2740 0.2740 0.7260
C 0.2740 0.7260 0.2740
C 0.2740 0.7260 0.7260
C 0.7260 0.2740 0.2740
C 0.7260 0.2740 0.7260
C 0.7260 0.7260 0.2740

The 10 most intense peaks (10 to 90 degrees two-theta), in order of rising 2θ:
two_theta	I (rel.)
14.57	160
23.90	510
28.10	156
38.22	367
42.03	914
44.72	1000
48.93	471
55.16	223
66.44	166
76.81	420



Entry 4:
Theoretical powder diffraction line list of Mn3W10C4 for Cu Ka, from a DFT-relaxed cell (PBE, the Materials Project).

Structural model:
Cell: 8.0053 8.0053 8.0278 Å, 90.00 90.00 120.00°
Atoms (fractional coordinates):
Mn 0.0663 0.5331 0.2500
Mn 0.4669 0.5331 0.2500
Mn 0.4669 0.9337 0.2500
Mn 0.5331 0.0663 0.7500
Mn 0.5331 0.4669 0.7500
Mn 0.9337 0.4669 0.7500
W 0.0000 0.0000 0.0000
W 0.0000 0.0000 0.5000
W 0.1177 0.2354 0.2500
W 0.1177 0.8823 0.2500
W 0.2090 0.4180 0.5587
W 0.2090 0.4180 0.9413
W 0.2090 0.7910 0.5587
W 0.2090 0.7910 0.9413
W 0.2354 0.1177 0.7500
W 0.4180 0.2090 0.0587
W 0.4180 0.2090 0.4413
W 0.5820 0.7910 0.5587
W 0.5820 0.7910 0.9413
W 0.7646 0.8823 0.2500
W 0.7910 0.2090 0.0587
W 0.7910 0.2090 0.4413
W 0.7910 0.5820 0.0587
W 0.7910 0.5820 0.4413
W 0.8823 0.1177 0.7500
W 0.8823 0.7646 0.7500
C 0.0000 0.5000 0.0000
C 0.0000 0.5000 0.5000
C 0.3333 0.6667 0.2500
C 0.5000 0.0000 0.0000
C 0.5000 0.0000 0.5000
C 0.5000 0.5000 0.0000
C 0.5000 0.5000 0.5000
C 0.6667 0.3333 0.7500

The 10 most intense peaks (10 to 90 degrees two-theta), in order of rising 2θ:
two_theta	I (rel.)
12.77	347
34.22	329
35.99	394
40.63	536
41.14	1000
42.69	482
68.65	199
70.59	186
71.56	256
72.06	188



Entry 5:
Theoretical powder diffraction line list of Y10Mn13C18 for Cu Ka, from a DFT-relaxed cell (PBE, the Materials Project).

Structural model:
Cell: 8.7453 8.7453 8.7453 Å, 109.47 109.47 109.47°
Atoms (fractional coordinates):
Y 0.0000 0.0000 0.4086
Y 0.0000 0.4086 0.0000
Y 0.2500 0.5000 0.7500
Y 0.2500 0.7500 0.5000
Y 0.4086 0.0000 0.0000
Y 0.5000 0.2500 0.7500
Y 0.5000 0.7500 0.2500
Y 0.5914 0.5914 0.5914
Y 0.7500 0.2500 0.5000
Y 0.7500 0.5000 0.2500
Mn 0.0000 0.0000 0.0000
Mn 0.0000 0.6663 0.8198
Mn 0.0000 0.8198 0.6663
Mn 0.1536 0.3337 0.3337
Mn 0.1802 0.1802 0.8464
Mn 0.1802 0.8464 0.1802
Mn 0.3337 0.1536 0.3337
Mn 0.3337 0.3337 0.1536
Mn 0.6663 0.0000 0.8198
Mn 0.6663 0.8198 0.0000
Mn 0.8198 0.0000 0.6663
Mn 0.8198 0.6663 0.0000
Mn 0.8464 0.1802 0.1802
C 0.0000 0.2180 0.7033
C 0.0000 0.4312 0.4312
C 0.0000 0.5688 0.5688
C 0.0000 0.7033 0.2180
C 0.2180 0.0000 0.7033
C 0.2180 0.7033 0.0000
C 0.2967 0.2967 0.5147
C 0.2967 0.5147 0.2967
C 0.4312 0.0000 0.4312
C 0.4312 0.4312 0.0000
C 0.4853 0.7820 0.7820
C 0.5147 0.2967 0.2967
C 0.5688 0.0000 0.5688
C 0.5688 0.5688 0.0000
C 0.7033 0.0000 0.2180
C 0.7033 0.2180 0.0000
C 0.7820 0.4853 0.7820
C 0.7820 0.7820 0.4853

The 10 most intense peaks (10 to 90 degrees two-theta), in order of rising 2θ:
two_theta	I (rel.)
30.67	1000
33.20	929
35.56	780
37.80	871
41.96	417
49.44	305
51.17	225
52.87	241
56.15	485
68.25	404



Entry 6:
Theoretical powder diffraction line list of Y12Mn5C15 for Cu Ka, from a DFT-relaxed cell (PBE, the Materials Project).

Structural model:
Cell: 10.5039 10.5039 5.0621 Å, 90.00 90.00 120.00°
Atoms (fractional coordinates):
Y 0.0000 0.4278 0.0000
Y 0.0000 0.7929 0.0000
Y 0.1852 0.7301 0.5000
Y 0.2071 0.2071 0.0000
Y 0.2699 0.4551 0.5000
Y 0.4278 0.0000 0.0000
Y 0.4551 0.2699 0.5000
Y 0.5449 0.8148 0.5000
Y 0.5722 0.5722 0.0000
Y 0.7301 0.1852 0.5000
Y 0.7929 0.0000 0.0000
Y 0.8148 0.5449 0.5000
Mn 0.0000 0.1528 0.5000
Mn 0.1528 0.0000 0.5000
Mn 0.3333 0.6667 0.0000
Mn 0.6667 0.3333 0.0000
Mn 0.8472 0.8472 0.5000
C 0.0000 0.3238 0.5000
C 0.0000 0.4525 0.5000
C 0.0000 0.8001 0.5000
C 0.1927 0.7150 0.0000
C 0.1999 0.1999 0.5000
C 0.2850 0.4777 0.0000
C 0.3238 0.0000 0.5000
C 0.4525 0.0000 0.5000
C 0.4777 0.2850 0.0000
C 0.5223 0.8073 0.0000
C 0.5475 0.5475 0.5000
C 0.6762 0.6762 0.5000
C 0.7150 0.1927 0.0000
C 0.8001 0.0000 0.5000
C 0.8073 0.5223 0.0000

The 10 most intense peaks (10 to 90 degrees two-theta), in order of rising 2θ:
two_theta	I (rel.)
31.45	1000
34.14	131
34.48	137
35.47	395
35.58	362
50.09	133
51.12	242
59.45	75
61.18	158
75.31	70